For Ba2Ac2S5, the GGA-PBE geometry in Alexandria gives the calculated powder diffractogram in this record (Cu Ka).
Neutral-atom scattering factors, no anomalous dispersion.

Principal peaks in the range 15 to 90 degrees two-theta, in order of rising 2θ:
two_theta  intensity
23.05  95
24.45  100
24.76  47
26.79  67
29.76  76
33.62  62
34.79  47
34.90  69
45.43  51
45.56  56

Atomic structure:
a b c (Å): 8.7460 8.7460 8.2754
angles (deg): 90.00 90.00 56.22
Element x y z (fractional)
Ba 0.2007 0.2007 0.0000
Ba 0.2993 0.2993 0.5000
Ba 0.7007 0.7007 0.5000
Ba 0.7993 0.7993 0.0000
Ac 0.1607 0.8393 0.6613
Ac 0.3393 0.6607 0.1613
Ac 0.6607 0.3393 0.8387
Ac 0.8393 0.1607 0.3387
S 0.0000 0.0000 0.0000
S 0.0250 0.7197 0.3498
S 0.2197 0.5250 0.8498
S 0.2803 0.9750 0.3498
S 0.4750 0.7803 0.8498
S 0.5000 0.5000 0.5000
S 0.5250 0.2197 0.1502
S 0.7197 0.0250 0.6502
S 0.7803 0.4750 0.1502
S 0.9750 0.2803 0.6502